The following is a computed powder X-ray diffraction pattern of TmSiIr. It was derived from a GGA-PBE-relaxed structure, using Cu Kα (weighted mean of Kα1 and Kα2).
Neutral-atom scattering factors, no anomalous dispersion.

The 10 most intense peaks (2θ = 15–90°), sorted by position:
hkl  2θ/deg  Rel. int.
1 1 1  27.77  663
2 1 0  34.12  379
1 1 2  34.86  1000
2 0 2  35.92  352
2 1 1  36.25  896
1 0 3  38.64  332
3 0 1  41.98  473
0 1 3  42.30  512
0 2 0  43.16  512
3 1 4  69.24  444

Atomic structure:
```
TmSiIr
1.0
6.745 0.000 0.000
0.000 4.192 0.000
0.000 0.000 7.449
Tm Si Ir
4 4 4
Direct
0.006 0.250 0.188 Tm
0.494 0.750 0.688 Tm
0.506 0.250 0.312 Tm
0.994 0.750 0.812 Tm
0.204 0.750 0.387 Si
0.296 0.250 0.887 Si
0.704 0.750 0.113 Si
0.796 0.250 0.613 Si
0.158 0.250 0.564 Ir
0.342 0.750 0.064 Ir
0.658 0.250 0.936 Ir
0.842 0.750 0.436 Ir
```